# Eu3Mg
Theoretical powder diffraction line list, Cu Kα, 1.54184 Å. Input: a GGA-PBE-relaxed structure.
Intensities are scaled so that the largest is 100.

The 12 most intense peaks (15 to 90 degrees two-theta), low angle first:
2θ = 18.3°, rel. 15, hkl 1 1 1; 2θ = 21.1°, rel. 8, hkl 2 0 0; 2θ = 30.1°, rel. 100, hkl 2 2 0; 2θ = 35.4°, rel. 9, hkl 3 1 1; 2θ = 43.0°, rel. 19, hkl 4 0 0; 2θ = 47.1°, rel. 4, hkl 3 3 1; 2θ = 48.4°, rel. 4, hkl 4 2 0; 2θ = 53.4°, rel. 40, hkl 4 2 2; 2θ = 62.5°, rel. 12, hkl 4 4 0; 2θ = 70.9°, rel. 17, hkl 6 2 0; 2θ = 78.8°, rel. 4, hkl 4 4 4; 2θ = 86.6°, rel. 21, hkl 6 4 2

Cell and atoms:
```
16
Lattice="8.411 0.000 0.000 0.000 8.411 0.000 0.000 0.000 8.411" Properties=species:S:1:pos:R:3 pbc="T T T"
Eu 0.000 0.000 0.000
Eu 0.000 4.205 4.205
Eu 2.103 2.103 2.103
Eu 2.103 2.103 6.308
Eu 2.103 6.308 2.103
Eu 2.103 6.308 6.308
Eu 4.205 0.000 4.205
Eu 4.205 4.205 0.000
Eu 6.308 2.103 2.103
Eu 6.308 2.103 6.308
Eu 6.308 6.308 2.103
Eu 6.308 6.308 6.308
Mg 0.000 0.000 4.205
Mg 0.000 4.205 0.000
Mg 4.205 0.000 0.000
Mg 4.205 4.205 4.205
```

# EuMg5
Theoretical powder diffraction line list, Cu Kα, 1.54184 Å. Input: a GGA-PBE-relaxed structure.
Intensities are scaled so that the largest is 100.

The 12 most intense peaks (15 to 90 degrees two-theta), low angle first:
2θ = 16.3°, rel. 31, hkl 0 0 2; 2θ = 21.2°, rel. 91, hkl 2 0 1; 2θ = 25.5°, rel. 35, hkl 2 0 2; 2θ = 25.9°, rel. 29, hkl 2 1 0; 2θ = 30.6°, rel. 61, hkl 3 0 1; 2θ = 30.8°, rel. 51, hkl 2 1 2; 2θ = 31.6°, rel. 100, hkl 2 0 3; 2θ = 34.1°, rel. 59, hkl 2 2 0; 2θ = 38.7°, rel. 28, hkl 3 0 3; 2θ = 44.1°, rel. 28, hkl 3 2 1; 2θ = 46.4°, rel. 25, hkl 2 0 5; 2θ = 50.5°, rel. 32, hkl 0 0 6

Cell and atoms:
```
36
Lattice="10.517 0.000 0.000 -5.258 9.108 0.000 0.000 0.000 10.844" Properties=species:S:1:pos:R:3 pbc="T T T"
Eu 0.000 3.553 2.711
Eu -2.181 7.331 2.711
Eu 3.077 1.777 8.133
Eu 2.181 7.331 2.711
Eu 7.439 1.777 8.133
Eu 5.258 5.554 8.133
Mg 0.000 0.000 0.000
Mg 0.000 0.000 5.422
Mg -2.629 4.554 0.000
Mg -2.629 4.554 5.422
Mg -1.549 5.178 8.133
Mg 0.000 2.943 6.398
Mg 0.000 2.943 9.868
Mg -2.710 7.636 6.398
Mg -2.710 7.636 9.868
Mg 2.549 1.471 0.976
Mg 2.549 1.471 4.446
Mg 0.000 6.072 5.456
Mg 0.000 6.072 10.811
Mg 1.549 5.178 8.133
Mg 0.000 7.860 8.133
Mg 5.258 0.000 0.000
Mg 5.258 0.000 5.422
Mg 2.629 4.554 0.000
Mg 2.629 4.554 5.422
Mg 5.258 1.248 2.711
Mg 3.710 3.930 2.711
Mg 5.258 3.036 0.034
Mg 5.258 3.036 5.389
Mg 2.710 7.636 6.398
Mg 2.710 7.636 9.868
Mg 7.968 1.471 0.976
Mg 7.968 1.471 4.446
Mg 5.258 6.165 0.976
Mg 5.258 6.165 4.446
Mg 6.807 3.930 2.711
```

# Eu2Mg
Theoretical powder diffraction line list, Cu Kα, 1.54184 Å. Input: a GGA-PBE-relaxed structure.
Intensities are scaled so that the largest is 100.

The 12 most intense peaks (15 to 90 degrees two-theta), low angle first:
2θ = 23.5°, rel. 20, hkl 1 1 0; 2θ = 24.2°, rel. 40, hkl 0 4 1; 2θ = 27.1°, rel. 11, hkl 1 3 0; 2θ = 28.7°, rel. 16, hkl 0 6 0; 2θ = 29.8°, rel. 34, hkl 0 0 2; 2θ = 31.0°, rel. 100, hkl 1 3 1; 2θ = 32.4°, rel. 21, hkl 0 6 1; 2θ = 38.3°, rel. 11, hkl 1 1 2; 2θ = 41.1°, rel. 13, hkl 1 7 0; 2θ = 41.9°, rel. 12, hkl 0 6 2; 2θ = 51.6°, rel. 14, hkl 1 7 2; 2θ = 53.7°, rel. 21, hkl 1 3 3

Cell and atoms:
```
12
Lattice="3.872 0.000 0.000 0.000 18.651 0.000 0.000 0.000 5.998" Properties=species:S:1:pos:R:3 pbc="T T T"
Eu 0.000 1.710 1.499
Eu 0.000 4.071 4.498
Eu 0.000 14.580 1.499
Eu 0.000 16.940 4.498
Eu 1.936 5.254 1.499
Eu 1.936 7.615 4.498
Eu 1.936 11.036 1.499
Eu 1.936 13.396 4.498
Mg 0.000 8.178 1.499
Mg 0.000 10.473 4.498
Mg 1.936 1.148 4.498
Mg 1.936 17.503 1.499
```